Starting from a structure optimized by DFT (GGA-PBE), the powder diffractogram of Zr7As4 was calculated for Cu Kα, 1.54184 Å.
Peak positions follow from Bragg's law for the DFT cell and can differ from measured ones.

Principal peaks in the range 2θ from 5° to 70°, by angle:
| d (Å) | two_theta | I/Imax |
| --- | --- | --- |
| 2.761 | 32.4 | 40 |
| 2.648 | 33.9 | 59 |
| 2.634 | 34.0 | 22 |
| 2.499 | 35.9 | 61 |
| 2.456 | 36.6 | 28 |
| 2.447 | 36.7 | 41 |
| 2.423 | 37.1 | 100 |
| 2.403 | 37.4 | 77 |
| 2.280 | 39.5 | 31 |
| 1.850 | 49.3 | 49 |

abc: 8.377 8.377 15.169
angles: 104.37 104.37 25.52
Positions (direct):
Zr (0.000, 0.000, 0.000)
Zr (0.003, 0.003, 0.664)
Zr (0.179, 0.179, 0.543)
Zr (0.195, 0.195, 0.308)
Zr (0.206, 0.206, 0.796)
Zr (0.338, 0.338, 0.032)
Zr (0.431, 0.431, 0.833)
Zr (0.500, 0.500, 0.500)
Zr (0.569, 0.569, 0.167)
Zr (0.662, 0.662, 0.968)
Zr (0.794, 0.794, 0.204)
Zr (0.805, 0.805, 0.692)
Zr (0.821, 0.821, 0.457)
Zr (0.997, 0.997, 0.336)
As (0.062, 0.062, 0.850)
As (0.177, 0.177, 0.109)
As (0.370, 0.370, 0.339)
As (0.372, 0.372, 0.600)
As (0.628, 0.628, 0.400)
As (0.630, 0.630, 0.661)
As (0.823, 0.823, 0.891)
As (0.938, 0.938, 0.150)

---

Starting from a structure optimized by DFT (GGA-PBE), the powder diffractogram of Dy3Hg4 was calculated for Cu Kα, 1.54184 Å.
Peak positions follow from Bragg's law for the DFT cell and can differ from measured ones.

Principal peaks in the range 2θ from 5° to 70°, by angle:
| d (Å) | two_theta | I/Imax |
| --- | --- | --- |
| 4.344 | 20.4 | 8 |
| 4.174 | 21.3 | 6 |
| 3.649 | 24.4 | 15 |
| 3.364 | 26.5 | 6 |
| 2.618 | 34.3 | 100 |
| 2.544 | 35.3 | 94 |
| 1.824 | 50.0 | 37 |
| 1.527 | 60.7 | 18 |
| 1.483 | 62.7 | 37 |
| 1.469 | 63.3 | 18 |

abc: 9.163 9.163 9.163
angles: 32.24 32.24 32.24
Positions (direct):
Dy (0.000, 0.000, 0.000)
Dy (0.244, 0.244, 0.244)
Dy (0.756, 0.756, 0.756)
Hg (0.127, 0.127, 0.127)
Hg (0.375, 0.375, 0.375)
Hg (0.625, 0.625, 0.625)
Hg (0.873, 0.873, 0.873)

---

Starting from a structure optimized by DFT (GGA-PBE), the powder diffractogram of UNi6P4 was calculated for Cu Kα, 1.54184 Å.
Peak positions follow from Bragg's law for the DFT cell and can differ from measured ones.

Principal peaks in the range 2θ from 5° to 70°, by angle:
| d (Å) | two_theta | I/Imax |
| --- | --- | --- |
| 4.332 | 20.5 | 29 |
| 3.962 | 22.4 | 31 |
| 2.590 | 34.6 | 70 |
| 2.424 | 37.1 | 100 |
| 2.166 | 41.7 | 28 |
| 1.978 | 45.9 | 37 |
| 1.901 | 47.8 | 41 |
| 1.663 | 55.2 | 35 |
| 1.461 | 63.7 | 19 |
| 1.429 | 65.3 | 24 |

abc: 5.871 5.871 5.871
angles: 117.09 117.09 95.11
Positions (direct):
U (0.000, 0.000, 0.000)
Ni (0.000, 0.500, 0.500)
Ni (0.227, 0.520, 0.000)
Ni (0.480, 0.480, 0.706)
Ni (0.500, 0.000, 0.500)
Ni (0.520, 0.227, 0.000)
Ni (0.773, 0.773, 0.294)
P (0.138, 0.138, 0.573)
P (0.435, 0.862, 0.000)
P (0.565, 0.565, 0.427)
P (0.862, 0.435, 0.000)

---

Starting from a structure optimized by DFT (GGA-PBE), the powder diffractogram of K2AlSnO4 was calculated for Cu Kα, 1.54184 Å.
Peak positions follow from Bragg's law for the DFT cell and can differ from measured ones.

Principal peaks in the range 2θ from 5° to 70°, by angle:
| d (Å) | two_theta | I/Imax |
| --- | --- | --- |
| 4.759 | 18.6 | 36 |
| 4.129 | 21.5 | 11 |
| 2.914 | 30.7 | 100 |
| 2.489 | 36.1 | 11 |
| 2.380 | 37.8 | 8 |
| 2.064 | 43.9 | 14 |
| 1.890 | 48.1 | 8 |
| 1.846 | 49.4 | 8 |
| 1.684 | 54.5 | 26 |
| 1.680 | 54.6 | 17 |

abc: 5.824 5.824 5.824
angles: 119.83 119.83 90.29
Positions (direct):
K (0.000, 0.000, 0.000)
K (0.750, 0.250, 0.500)
Al (0.500, 0.500, 0.000)
Sn (0.250, 0.750, 0.500)
O (0.247, 0.606, 0.088)
O (0.394, 0.482, 0.641)
O (0.518, 0.160, 0.912)
O (0.840, 0.753, 0.359)

---

Starting from a structure optimized by DFT (GGA-PBE), the powder diffractogram of TmPdAu was calculated for Cu Kα, 1.54184 Å.
Peak positions follow from Bragg's law for the DFT cell and can differ from measured ones.

Principal peaks in the range 2θ from 5° to 70°, by angle:
| d (Å) | two_theta | I/Imax |
| --- | --- | --- |
| 2.461 | 36.5 | 51 |
| 2.438 | 36.9 | 100 |
| 2.361 | 38.1 | 92 |
| 2.354 | 38.2 | 46 |
| 1.701 | 53.9 | 34 |
| 1.691 | 54.2 | 16 |
| 1.416 | 66.0 | 18 |
| 1.401 | 66.8 | 18 |
| 1.394 | 67.2 | 17 |
| 1.390 | 67.4 | 18 |

abc: 4.877 4.877 5.679
angles: 90.00 90.00 119.40
Positions (direct):
Tm (0.164, 0.836, 0.750)
Tm (0.836, 0.164, 0.250)
Pd (0.172, 0.828, 0.250)
Pd (0.828, 0.172, 0.750)
Au (0.500, 0.500, 0.000)
Au (0.500, 0.500, 0.500)

---

Starting from a structure optimized by DFT (GGA-PBE), the powder diffractogram of ScCl was calculated for Cu Kα, 1.54184 Å.
Peak positions follow from Bragg's law for the DFT cell and can differ from measured ones.

Principal peaks in the range 2θ from 5° to 70°, by angle:
| d (Å) | two_theta | I/Imax |
| --- | --- | --- |
| 10.796 | 8.2 | 23 |
| 7.634 | 11.6 | 33 |
| 5.398 | 16.4 | 23 |
| 3.117 | 28.6 | 38 |
| 2.886 | 31.0 | 14 |
| 2.699 | 33.2 | 32 |
| 2.414 | 37.2 | 100 |
| 2.117 | 42.7 | 24 |
| 2.040 | 44.4 | 14 |
| 1.707 | 53.7 | 15 |

abc: 10.796 10.796 3.414
angles: 90.00 90.00 90.00
Positions (direct):
Sc (0.108, 0.652, 0.000)
Sc (0.113, 0.190, 0.500)
Sc (0.190, 0.887, 0.500)
Sc (0.348, 0.108, 0.000)
Sc (0.652, 0.892, 0.000)
Sc (0.810, 0.113, 0.500)
Sc (0.887, 0.810, 0.500)
Sc (0.892, 0.348, 0.000)
Cl (0.116, 0.397, 0.000)
Cl (0.282, 0.650, 0.500)
Cl (0.350, 0.282, 0.500)
Cl (0.397, 0.884, 0.000)
Cl (0.603, 0.116, 0.000)
Cl (0.650, 0.718, 0.500)
Cl (0.718, 0.350, 0.500)
Cl (0.884, 0.603, 0.000)

---

Starting from a structure optimized by DFT (GGA-PBE), the powder diffractogram of Dy5Ga2 was calculated for Cu Kα, 1.54184 Å.
Peak positions follow from Bragg's law for the DFT cell and can differ from measured ones.

Principal peaks in the range 2θ from 5° to 70°, by angle:
| d (Å) | two_theta | I/Imax |
| --- | --- | --- |
| 3.367 | 26.5 | 54 |
| 2.978 | 30.0 | 61 |
| 2.895 | 30.9 | 100 |
| 2.782 | 32.2 | 83 |
| 2.730 | 32.8 | 52 |
| 2.689 | 33.3 | 47 |
| 2.671 | 33.5 | 54 |
| 2.622 | 34.2 | 46 |
| 2.468 | 36.4 | 88 |
| 2.378 | 37.8 | 58 |

abc: 8.442 8.442 8.077
angles: 97.08 97.08 43.16
Positions (direct):
Dy (0.125, 0.875, 0.750)
Dy (0.137, 0.305, 0.319)
Dy (0.269, 0.541, 0.076)
Dy (0.305, 0.137, 0.819)
Dy (0.459, 0.731, 0.424)
Dy (0.541, 0.269, 0.576)
Dy (0.695, 0.863, 0.181)
Dy (0.731, 0.459, 0.924)
Dy (0.863, 0.695, 0.681)
Dy (0.875, 0.125, 0.250)
Ga (0.090, 0.703, 0.418)
Ga (0.297, 0.910, 0.082)
Ga (0.703, 0.090, 0.918)
Ga (0.910, 0.297, 0.582)

---

Starting from a structure optimized by DFT (GGA-PBE), the powder diffractogram of CaI2O12 was calculated for Cu Kα, 1.54184 Å.
Peak positions follow from Bragg's law for the DFT cell and can differ from measured ones.

Principal peaks in the range 2θ from 5° to 70°, by angle:
| d (Å) | two_theta | I/Imax |
| --- | --- | --- |
| 6.125 | 14.5 | 30 |
| 5.886 | 15.1 | 100 |
| 4.868 | 18.2 | 34 |
| 3.811 | 23.3 | 21 |
| 3.333 | 26.8 | 24 |
| 3.031 | 29.5 | 15 |
| 2.943 | 30.4 | 33 |
| 2.927 | 30.5 | 21 |
| 2.434 | 36.9 | 14 |
| 1.906 | 47.7 | 13 |

abc: 12.721 7.320 13.851
angles: 65.65 31.62 82.73
Positions (direct):
Ca (0.000, 0.000, 0.000)
Ca (0.250, 0.250, 0.250)
I (0.033, 0.080, 0.725)
I (0.080, 0.033, 0.163)
I (0.087, 0.525, 0.170)
I (0.525, 0.087, 0.217)
O (0.021, 0.673, 0.096)
O (0.040, 0.154, 0.577)
O (0.042, 0.310, 0.145)
O (0.105, 0.746, 0.208)
O (0.111, 0.470, 0.849)
O (0.154, 0.040, 0.229)
O (0.160, 0.284, 0.677)
O (0.284, 0.160, 0.879)
O (0.295, 0.617, 0.702)
O (0.299, 0.912, 0.350)
O (0.310, 0.042, 0.504)
O (0.371, 0.573, 0.966)
O (0.401, 0.679, 0.139)
O (0.470, 0.111, 0.571)
O (0.548, 0.865, 0.955)
O (0.573, 0.371, 0.090)
O (0.617, 0.295, 0.385)
O (0.673, 0.021, 0.210)
O (0.679, 0.401, 0.780)
O (0.746, 0.105, 0.940)
O (0.811, 0.900, 0.338)
O (0.865, 0.548, 0.633)
O (0.900, 0.811, 0.951)
O (0.912, 0.299, 0.439)